Diffraction record for PaMn2PdO8. The XRD peak list is simulated, not measured: it uses a cell relaxed with PBE+U and Cu Kα (λ = 1.5418 Å).
No peak broadening, texture or thermal motion is included.

Principal peaks in the range 15 to 90 degrees two-theta, sorted by position:
2θ = 18.34°, I 72.0
2θ = 26.12°, I 85.6
2θ = 32.02°, I 100.0
2θ = 37.27°, I 18.7
2θ = 41.85°, I 16.9
2θ = 49.94°, I 69.7
2θ = 53.74°, I 14.1
2θ = 60.38°, I 14.9
2θ = 63.91°, I 19.3
2θ = 76.40°, I 13.9

Crystal structure
Cell lengths 5.9208, 5.9208, 5.9208 Å; angles 109.63, 109.63, 109.15 degrees
Atoms (fractional coordinates):
Pa  0.0000  0.0000  0.0000
Mn  0.2500  0.7500  0.5000
Mn  0.5000  0.5000  0.0000
Pd  0.7500  0.2500  0.5000
O  0.0778  0.2768  0.8010
O  0.0914  0.4021  0.3107
O  0.0914  0.7807  0.6893
O  0.2193  0.9086  0.3107
O  0.4758  0.2768  0.1990
O  0.5979  0.9086  0.6893
O  0.7232  0.5242  0.8010
O  0.7232  0.9222  0.1990